No. 1
This entry pairs a crystal structure of Ca2Cd3Rh2 with its simulated X-ray powder pattern. Radiation: CuKα. Structure: a cell relaxed with GGA-PBE.
Intensities are scaled so that the largest is 100.

Cell and atoms:
a = 10.122 Å, b = 4.471 Å, c = 7.380 Å
α = 90.00°, β = 112.37°, γ = 90.00°
Sites, in units of the cell vectors:
Ca 0.143 0.000 0.289
Ca 0.357 0.500 0.711
Ca 0.643 0.500 0.289
Ca 0.857 0.000 0.711
Cd 0.000 0.500 0.500
Cd 0.133 0.500 0.940
Cd 0.367 0.000 0.060
Cd 0.500 0.000 0.500
Cd 0.633 0.000 0.940
Cd 0.867 0.500 0.060
Rh 0.140 0.000 0.696
Rh 0.360 0.500 0.304
Rh 0.640 0.500 0.696
Rh 0.860 0.000 0.304

Peak list (10 most intense, 15 to 90 degrees two-theta, most intense first)
- 37.2°, I 100
- 18.5°, I 91
- 36.8°, I 62
- 33.3°, I 53
- 40.3°, I 51
- 41.4°, I 33
- 42.3°, I 32
- 38.5°, I 21
- 44.7°, I 19
- 31.4°, I 18

No. 2
This entry pairs a crystal structure of Pm7Er3Th with its simulated X-ray powder pattern. Radiation: CuKα. Structure: a cell relaxed with GGA-PBE.
Intensities are scaled so that the largest is 100.

Cell and atoms:
a = 7.180 Å, b = 7.180 Å, c = 8.661 Å
α = 90.00°, β = 90.00°, γ = 120.00°
Sites, in units of the cell vectors:
Pm 0.000 0.000 0.000
Pm 0.166 0.331 0.340
Pm 0.166 0.834 0.340
Pm 0.503 0.006 0.001
Pm 0.503 0.497 0.001
Pm 0.669 0.834 0.340
Pm 0.994 0.497 0.001
Er 0.338 0.169 0.664
Er 0.831 0.169 0.664
Er 0.831 0.662 0.664
Th 0.667 0.333 0.336

Peak list (10 most intense, 15 to 90 degrees two-theta, most intense first)
- 30.6°, I 100
- 35.5°, I 67
- 31.0°, I 32
- 60.8°, I 28
- 50.9°, I 24
- 51.4°, I 23
- 60.5°, I 14
- 61.3°, I 14
- 63.6°, I 12
- 82.9°, I 12

No. 3
This entry pairs a crystal structure of Ga3Ge2Pd4 with its simulated X-ray powder pattern. Radiation: CuKα. Structure: a cell relaxed with GGA-PBE.
Intensities are scaled so that the largest is 100.

Cell and atoms:
a = 8.166 Å, b = 8.166 Å, c = 4.777 Å
α = 100.99°, β = 100.99°, γ = 70.31°
Sites, in units of the cell vectors:
Ga 0.136 0.864 0.750
Ga 0.218 0.509 0.928
Ga 0.491 0.782 0.572
Ga 0.509 0.218 0.428
Ga 0.782 0.491 0.072
Ga 0.864 0.136 0.250
Ge 0.112 0.349 0.331
Ge 0.349 0.112 0.831
Ge 0.651 0.888 0.169
Ge 0.888 0.651 0.669
Pd 0.015 0.211 0.775
Pd 0.211 0.015 0.275
Pd 0.312 0.551 0.465
Pd 0.449 0.688 0.035
Pd 0.551 0.312 0.965
Pd 0.688 0.449 0.535
Pd 0.789 0.985 0.725
Pd 0.985 0.789 0.225

Peak list (10 most intense, 15 to 90 degrees two-theta, most intense first)
- 42.1°, I 100
- 39.0°, I 72
- 38.3°, I 65
- 36.8°, I 63
- 46.1°, I 46
- 47.9°, I 28
- 68.8°, I 18
- 62.9°, I 16
- 71.9°, I 13
- 69.8°, I 11

No. 4
This entry pairs a crystal structure of PmAl11Pd with its simulated X-ray powder pattern. Radiation: CuKα. Structure: a cell relaxed with GGA-PBE.
Intensities are scaled so that the largest is 100.

Cell and atoms:
a = 6.823 Å, b = 6.823 Å, c = 7.362 Å
α = 97.52°, β = 97.52°, γ = 134.77°
Sites, in units of the cell vectors:
Pm 0.000 0.000 0.000
Al 0.000 0.000 0.500
Al 0.000 0.500 0.000
Al 0.003 0.649 0.644
Al 0.282 0.501 0.774
Al 0.351 0.997 0.356
Al 0.499 0.718 0.226
Al 0.500 0.000 0.000
Al 0.501 0.282 0.774
Al 0.649 0.003 0.644
Al 0.718 0.499 0.226
Al 0.997 0.351 0.356
Pd 0.500 0.500 0.500

Peak list (10 most intense, 15 to 90 degrees two-theta, most intense first)
- 19.5°, I 100
- 38.7°, I 99
- 33.4°, I 73
- 39.2°, I 71
- 26.5°, I 70
- 39.6°, I 70
- 40.3°, I 68
- 37.7°, I 65
- 28.0°, I 60
- 29.4°, I 54

No. 5
This entry pairs a crystal structure of K8Na2Au3 with its simulated X-ray powder pattern. Radiation: CuKα. Structure: a cell relaxed with GGA-PBE.
Intensities are scaled so that the largest is 100.

Cell and atoms:
a = 10.757 Å, b = 10.757 Å, c = 5.878 Å
α = 90.15°, β = 90.15°, γ = 66.98°
Sites, in units of the cell vectors:
K 0.102 0.102 0.001
K 0.138 0.650 0.499
K 0.350 0.862 0.501
K 0.392 0.392 0.000
K 0.608 0.608 0.000
K 0.650 0.138 0.499
K 0.862 0.350 0.501
K 0.898 0.898 0.999
Na 0.249 0.249 0.501
Na 0.751 0.751 0.499
Au 0.000 0.000 0.500
Au 0.256 0.744 0.000
Au 0.744 0.256 0.000

Peak list (10 most intense, 15 to 90 degrees two-theta, most intense first)
- 29.2°, I 100
- 23.5°, I 41
- 37.0°, I 36
- 30.1°, I 30
- 30.4°, I 25
- 31.8°, I 21
- 43.3°, I 18
- 17.5°, I 18
- 52.9°, I 18
- 32.0°, I 18

No. 6
This entry pairs a crystal structure of RbNaRhF6 with its simulated X-ray powder pattern. Radiation: CuKα. Structure: a cell relaxed with GGA-PBE.
Intensities are scaled so that the largest is 100.

Cell and atoms:
a = 7.689 Å, b = 7.689 Å, c = 7.689 Å
α = 120.31°, β = 119.96°, γ = 89.77°
Sites, in units of the cell vectors:
Rb 0.357 0.107 0.250
Rb 0.643 0.893 0.750
Na 0.000 0.000 0.500
Na 0.000 0.500 0.000
Rh 0.000 0.500 0.500
Rh 0.500 0.500 0.000
F 0.102 0.443 0.299
F 0.102 0.803 0.659
F 0.110 0.860 0.250
F 0.302 0.552 0.750
F 0.356 0.197 0.799
F 0.356 0.557 0.159
F 0.644 0.443 0.841
F 0.644 0.803 0.201
F 0.698 0.448 0.250
F 0.890 0.140 0.750
F 0.898 0.197 0.341
F 0.898 0.557 0.701

Peak list (10 most intense, 15 to 90 degrees two-theta, most intense first)
- 27.2°, I 100
- 47.3°, I 39
- 16.3°, I 22
- 28.5°, I 22
- 43.3°, I 21
- 23.2°, I 17
- 43.2°, I 12
- 27.3°, I 10
- 65.9°, I 10
- 23.1°, I 10